Entry 1:
CsHoSiS4: simulated XRD peak list (copper Kα), based on the GGA-PBE geometry in the Materials Project.
Lines closer than 0.1° are merged.

Largest 6 diffraction maxima, low angle first, 2θ from 10° to 80°:
2θ = 19.83°, 4.477 Å, intensity 91.3
2θ = 21.65°, 4.105 Å, intensity 80.3
2θ = 26.51°, 3.362 Å, intensity 85.4
2θ = 29.78°, 3.000 Å, intensity 94.4
2θ = 33.37°, 2.685 Å, intensity 88.4
2θ = 40.29°, 2.239 Å, intensity 100.0

Structure:
Cell: 6.3727 6.7249 17.8110 Å, 90.00 90.00 90.00°
Fractional coordinates of all 28 atoms:
Cs: 0.0033 0.0081 0.0318
Cs: 0.4967 0.9919 0.5318
Cs: 0.5033 0.4919 0.9682
Cs: 0.9967 0.5081 0.4682
Ho: 0.2081 0.5194 0.7282
Ho: 0.2919 0.4806 0.2282
Ho: 0.7081 0.9806 0.2718
Ho: 0.7919 0.0194 0.7718
Si: 0.2100 0.0178 0.3325
Si: 0.2900 0.9822 0.8325
Si: 0.7100 0.4822 0.6675
Si: 0.7900 0.5178 0.1675
S: 0.0555 0.5128 0.0962
S: 0.0674 0.7494 0.8528
S: 0.1022 0.2461 0.8440
S: 0.1075 0.0733 0.2203
S: 0.3925 0.9267 0.7203
S: 0.3978 0.7539 0.3440
S: 0.4326 0.2506 0.3528
S: 0.4445 0.4872 0.5962
S: 0.5555 0.9872 0.9038
S: 0.5674 0.7506 0.1472
S: 0.6022 0.2539 0.1560
S: 0.6075 0.4267 0.7797
S: 0.8925 0.5733 0.2797
S: 0.8978 0.7461 0.6560
S: 0.9326 0.2494 0.6472
S: 0.9445 0.0128 0.4038

Entry 2:
CsI4: simulated XRD peak list (copper Kα), based on the GGA-PBE geometry in the Materials Project.
Lines closer than 0.1° are merged.

Largest 6 diffraction maxima, low angle first, 2θ from 10° to 80°:
2θ = 21.59°, 4.115 Å, intensity 100.0
2θ = 23.73°, 3.749 Å, intensity 78.3
2θ = 24.81°, 3.588 Å, intensity 58.7
2θ = 25.74°, 3.461 Å, intensity 84.1
2θ = 26.92°, 3.312 Å, intensity 57.6
2θ = 27.45°, 3.249 Å, intensity 62.3

Structure:
Cell: 10.7112 9.0892 11.7206 Å, 90.00 112.80 90.00°
Fractional coordinates of all 20 atoms:
Cs: 0.2273 0.1241 0.3046
Cs: 0.2273 0.3759 0.8046
Cs: 0.7727 0.6241 0.1954
Cs: 0.7727 0.8759 0.6954
I: 0.0468 0.6438 0.9877
I: 0.0468 0.8562 0.4877
I: 0.1700 0.5298 0.4506
I: 0.1700 0.9702 0.9506
I: 0.3756 0.7063 0.3909
I: 0.3756 0.7937 0.8909
I: 0.4404 0.1048 0.6692
I: 0.4404 0.3952 0.1692
I: 0.5596 0.6048 0.8308
I: 0.5596 0.8952 0.3308
I: 0.6244 0.2063 0.1091
I: 0.6244 0.2937 0.6091
I: 0.8300 0.0298 0.0494
I: 0.8300 0.4702 0.5494
I: 0.9532 0.1438 0.5123
I: 0.9532 0.3562 0.0123

Entry 3:
Cs3I: simulated XRD peak list (copper Kα), based on the GGA-PBE geometry in the Materials Project.
Lines closer than 0.1° are merged.

Largest 6 diffraction maxima, low angle first, 2θ from 10° to 80°:
2θ = 15.21°, 5.827 Å, intensity 51.4
2θ = 20.16°, 4.405 Å, intensity 25.3
2θ = 23.22°, 3.831 Å, intensity 100.0
2θ = 26.50°, 3.364 Å, intensity 22.9
2θ = 28.93°, 3.087 Å, intensity 37.7
2θ = 58.32°, 1.582 Å, intensity 22.2

Structure:
Cell: 13.4563 13.4563 5.0846 Å, 90.00 90.00 120.00°
Fractional coordinates of all 8 atoms:
Cs: 0.2045 0.4089 0.2500
Cs: 0.2045 0.7955 0.2500
Cs: 0.4089 0.2045 0.7500
Cs: 0.5911 0.7955 0.2500
Cs: 0.7955 0.2045 0.7500
Cs: 0.7955 0.5911 0.7500
I: 0.3333 0.6667 0.7500
I: 0.6667 0.3333 0.2500

Entry 4:
Cs3InI6: simulated XRD peak list (copper Kα), based on the GGA-PBE geometry in the Materials Project.
Lines closer than 0.1° are merged.

Largest 6 diffraction maxima, low angle first, 2θ from 10° to 80°:
2θ = 19.11°, 4.644 Å, intensity 25.4
2θ = 23.46°, 3.792 Å, intensity 69.7
2θ = 27.15°, 3.284 Å, intensity 100.0
2θ = 38.78°, 2.322 Å, intensity 70.1
2θ = 45.82°, 1.980 Å, intensity 25.6
2θ = 63.32°, 1.469 Å, intensity 25.6

Structure:
Cell: 9.2886 9.2886 9.2886 Å, 60.00 60.00 60.00°
Fractional coordinates of all 10 atoms:
Cs: 0.0000 0.0000 0.0000
Cs: 0.2500 0.2500 0.2500
Cs: 0.7500 0.7500 0.7500
In: 0.5000 0.5000 0.5000
I: 0.2758 0.2758 0.7242
I: 0.2758 0.7242 0.2758
I: 0.2758 0.7242 0.7242
I: 0.7242 0.2758 0.2758
I: 0.7242 0.2758 0.7242
I: 0.7242 0.7242 0.2758

Entry 5:
Cs2RbInI6: simulated XRD peak list (copper Kα), based on the GGA-PBE geometry in the Materials Project.
Lines closer than 0.1° are merged.

Largest 6 diffraction maxima, low angle first, 2θ from 10° to 80°:
2θ = 23.93°, 3.719 Å, intensity 84.6
2θ = 27.70°, 3.221 Å, intensity 100.0
2θ = 39.57°, 2.277 Å, intensity 71.4
2θ = 46.77°, 1.942 Å, intensity 34.1
2θ = 48.99°, 1.859 Å, intensity 23.9
2θ = 64.72°, 1.440 Å, intensity 27.6

Structure:
Cell: 9.1096 9.1096 9.1096 Å, 60.00 60.00 60.00°
Fractional coordinates of all 10 atoms:
Cs: 0.2500 0.2500 0.2500
Cs: 0.7500 0.7500 0.7500
Rb: 0.0000 0.0000 0.0000
In: 0.5000 0.5000 0.5000
I: 0.2713 0.2713 0.7287
I: 0.2713 0.7287 0.2713
I: 0.2713 0.7287 0.7287
I: 0.7287 0.2713 0.2713
I: 0.7287 0.2713 0.7287
I: 0.7287 0.7287 0.2713

Entry 6:
Cs2InSbI6: simulated XRD peak list (copper Kα), based on the GGA-PBE geometry in the Materials Project.
Lines closer than 0.1° are merged.

Largest 6 diffraction maxima, low angle first, 2θ from 10° to 80°:
2θ = 24.52°, 3.631 Å, intensity 74.2
2θ = 28.38°, 3.145 Å, intensity 100.0
2θ = 40.57°, 2.224 Å, intensity 74.8
2θ = 47.97°, 1.896 Å, intensity 34.4
2θ = 50.25°, 1.816 Å, intensity 26.4
2θ = 66.48°, 1.406 Å, intensity 33.4

Structure:
Cell: 8.8945 8.8945 8.8945 Å, 60.00 60.00 60.00°
Fractional coordinates of all 10 atoms:
Cs: 0.2500 0.2500 0.2500
Cs: 0.7500 0.7500 0.7500
In: 0.0000 0.0000 0.0000
Sb: 0.5000 0.5000 0.5000
I: 0.2575 0.2575 0.7425
I: 0.2575 0.7425 0.2575
I: 0.2575 0.7425 0.7425
I: 0.7425 0.2575 0.2575
I: 0.7425 0.2575 0.7425
I: 0.7425 0.7425 0.2575

Entry 7:
Cs2YInI6: simulated XRD peak list (copper Kα), based on the GGA-PBE geometry in the Materials Project.
Lines closer than 0.1° are merged.

Largest 6 diffraction maxima, low angle first, 2θ from 10° to 80°:
2θ = 24.14°, 3.687 Å, intensity 83.6
2θ = 27.94°, 3.193 Å, intensity 100.0
2θ = 39.93°, 2.258 Å, intensity 74.1
2θ = 47.20°, 1.926 Å, intensity 37.8
2θ = 49.43°, 1.844 Å, intensity 25.8
2θ = 65.34°, 1.428 Å, intensity 32.0

Structure:
Cell: 9.0323 9.0323 9.0323 Å, 60.00 60.00 60.00°
Fractional coordinates of all 10 atoms:
Cs: 0.2500 0.2500 0.2500
Cs: 0.7500 0.7500 0.7500
Y: 0.0000 0.0000 0.0000
In: 0.5000 0.5000 0.5000
I: 0.2374 0.2374 0.7626
I: 0.2374 0.7626 0.2374
I: 0.2374 0.7626 0.7626
I: 0.7626 0.2374 0.2374
I: 0.7626 0.2374 0.7626
I: 0.7626 0.7626 0.2374

Entry 8:
Cs2KMoI6: simulated XRD peak list (copper Kα), based on the GGA-PBE geometry in the Materials Project.
Lines closer than 0.1° are merged.

Largest 6 diffraction maxima, low angle first, 2θ from 10° to 80°:
2θ = 24.83°, 3.586 Å, intensity 100.0
2θ = 28.75°, 3.106 Å, intensity 90.2
2θ = 41.10°, 2.196 Å, intensity 62.4
2θ = 48.62°, 1.873 Å, intensity 39.3
2θ = 50.93°, 1.793 Å, intensity 20.4
2θ = 67.43°, 1.389 Å, intensity 22.7

Structure:
Cell: 8.7842 8.7842 8.7842 Å, 60.00 60.00 60.00°
Fractional coordinates of all 10 atoms:
Cs: 0.2500 0.2500 0.2500
Cs: 0.7500 0.7500 0.7500
K: 0.0000 0.0000 0.0000
Mo: 0.5000 0.5000 0.5000
I: 0.2731 0.2731 0.7269
I: 0.2731 0.7269 0.2731
I: 0.2731 0.7269 0.7269
I: 0.7269 0.2731 0.2731
I: 0.7269 0.2731 0.7269
I: 0.7269 0.7269 0.2731